Record 1
This entry pairs a crystal structure of CaPtCl5 with its theoretical X-ray diffraction stick pattern. Radiation: Cu Kα X-rays. Structure: a DFT-relaxed cell (GGA-PBE, Alexandria).
Intensities are scaled so that the largest is 100.

Top 8 peaks for 2θ = 10–80°, by angle:
two_theta, I (rel.), hkl
14.95, 100, 1 1 -1
18.87, 25, 0 2 0
19.34, 87, 1 1 1
20.23, 18, 0 0 2
23.31, 30, 2 0 -2
30.83, 35, 1 3 -1
34.10, 30, 2 0 2
36.59, 21, 3 1 -3

Atomic structure:
a b c (Å): 9.1476 9.4056 9.3946
angles (deg): 90.00 110.88 90.00
Space group C2/c (No. 15)
Symmetry-distinct sites (fractional):
Ca 0.0000 0.0582 0.2500 [4 per cell]
Pt 0.2500 0.2500 0.0000 [4 per cell]
Cl 0.0000 0.2363 0.7500 [4 per cell]
Cl 0.0859 0.3033 0.1336 [8 per cell]
Cl 0.2125 0.0083 0.0399 [8 per cell]

Record 2
This entry pairs a crystal structure of Rb3Ca2Cl6 with its theoretical X-ray diffraction stick pattern. Radiation: Cu Kα X-rays. Structure: a DFT-relaxed cell (GGA-PBE, Alexandria).
Intensities are scaled so that the largest is 100.

Top 8 peaks for 2θ = 10–80°, by angle:
two_theta, I (rel.), hkl
23.09, 58, 1 1 0
23.76, 82, 1 0 5
29.27, 28, 1 0 7
31.18, 82, 1 1 6
32.89, 100, 2 0 0
40.98, 39, 2 1 5
47.20, 33, 2 2 0
48.62, 28, 2 0 10

Atomic structure:
a b c (Å): 5.4468 5.4468 25.7871
angles (deg): 90.00 90.00 90.00
Space group I4/mmm (No. 139)
Symmetry-distinct sites (fractional):
Rb 0.0000 0.0000 0.0000 [2 per cell]
Rb 0.0000 0.0000 0.1805 [4 per cell]
Ca 0.0000 0.0000 0.4115 [4 per cell]
Cl 0.0000 0.0000 0.3059 [4 per cell]
Cl 0.0000 0.5000 0.0880 [8 per cell]

Record 3
This entry pairs a crystal structure of Rb6CaCl8 with its theoretical X-ray diffraction stick pattern. Radiation: Cu Kα X-rays. Structure: a DFT-relaxed cell (GGA-PBE, Alexandria).
Intensities are scaled so that the largest is 100.

Top 8 peaks for 2θ = 10–80°, by angle:
two_theta, I (rel.), hkl
22.98, 100, 2 -1 3
27.64, 61, 0 0 6
28.56, 74, 3 -1 1
29.68, 58, 1 2 2
32.05, 60, 3 0 0
33.38, 86, 2 -1 6
33.82, 45, 3 -1 4
39.85, 56, 3 1 2

Atomic structure:
a b c (Å): 9.6753 9.6753 19.3624
angles (deg): 90.00 90.00 120.00
Space group R-3 (No. 148, hexagonal axes)
Symmetry-distinct sites (fractional):
Rb 0.0204 0.6142 0.4183 [18 per cell]
Ca 0.0000 0.0000 0.5000 [3 per cell]
Cl 0.0000 0.0000 0.1577 [6 per cell]
Cl 0.0110 0.7694 0.5818 [18 per cell]

Record 4
This entry pairs a crystal structure of Rb2CaCl4 with its theoretical X-ray diffraction stick pattern. Radiation: Cu Kα X-rays. Structure: a DFT-relaxed cell (GGA-PBE, Alexandria).
Intensities are scaled so that the largest is 100.

Top 8 peaks for 2θ = 10–80°, by angle:
two_theta, I (rel.), hkl
22.77, 67, 1 3 0
24.10, 61, 1 1 1
28.88, 56, 1 4 0
30.71, 70, 1 3 1
30.87, 100, 2 1 1
33.03, 55, 2 2 1
41.10, 47, 1 5 1
41.35, 34, 0 0 2

Atomic structure:
a b c (Å): 8.0842 13.3845 4.3672
angles (deg): 90.00 90.00 90.00
Space group Pbam (No. 55)
Symmetry-distinct sites (fractional):
Rb 0.0729 0.1782 0.0000 [4 per cell]
Ca 0.0000 0.5000 0.5000 [2 per cell]
Cl 0.1288 0.6874 0.5000 [4 per cell]
Cl 0.2122 0.4525 0.0000 [4 per cell]

Record 5
This entry pairs a crystal structure of RbCaRuCl6 with its theoretical X-ray diffraction stick pattern. Radiation: Cu Kα X-rays. Structure: a DFT-relaxed cell (GGA-PBE, Alexandria).
Intensities are scaled so that the largest is 100.

Top 8 peaks for 2θ = 10–80°, by angle:
two_theta, I (rel.), hkl
12.11, 32, 0 0 1
15.19, 20, 1 0 0
19.47, 100, 1 0 1
29.20, 31, 1 1 1
33.07, 18, 2 0 1
36.28, 65, 1 1 2
42.85, 25, 2 1 1
46.72, 22, 3 0 0

Atomic structure:
a b c (Å): 6.7346 6.7346 7.3092
angles (deg): 90.00 90.00 120.00
Space group P312 (No. 149)
Symmetry-distinct sites (fractional):
Rb 0.0000 0.0000 0.0000 [1 per cell]
Ca 0.6667 0.3333 0.5000 [1 per cell]
Ru 0.3333 0.6667 0.5000 [1 per cell]
Cl 0.0401 0.3851 0.3074 [6 per cell]